Entry 1:
Simulated powder diffractogram
Compound: Ba2Cd6AgAu
Radiation: a wavelength of 1.5418 Å
Structure: a cell relaxed with PBE

Peak list (12 most intense, 10 to 80 degrees two-theta, sorted by position)
16.5°, d = 5.370 Å, I = 26; 23.4°, d = 3.797 Å, I = 36; 28.8°, d = 3.100 Å, I = 51; 33.4°, d = 2.685 Å, I = 100; 37.5°, d = 2.401 Å, I = 14; 41.2°, d = 2.192 Å, I = 17; 47.9°, d = 1.898 Å, I = 71; 56.8°, d = 1.620 Å, I = 14; 59.7°, d = 1.550 Å, I = 24; 70.0°, d = 1.343 Å, I = 7; 77.5°, d = 1.232 Å, I = 8; 79.8°, d = 1.201 Å, I = 21

Lattice parameters (Å, degrees): 7.5906 7.5906 7.5906 119.92 119.92 90.14
Fractional positions:
Ba 0.2500 0.7500 0.5000
Ba 0.7500 0.2500 0.5000
Cd 0.2495 0.2495 0.0000
Cd 0.2495 0.2495 0.4991
Cd 0.2495 0.7505 0.0000
Cd 0.7505 0.2495 0.0000
Cd 0.7505 0.7505 0.0000
Cd 0.7505 0.7505 0.5009
Ag 0.0000 0.0000 0.0000
Au 0.5000 0.5000 0.0000

Entry 2:
Simulated powder diffractogram
Compound: BeCr2Pd
Radiation: a wavelength of 1.5418 Å
Structure: a cell relaxed with PBE

Peak list (12 most intense, 10 to 80 degrees two-theta, sorted by position)
27.6°, d = 3.234 Å, I = 42; 30.9°, d = 2.895 Å, I = 60; 36.7°, d = 2.449 Å, I = 38; 39.3°, d = 2.295 Å, I = 54; 40.0°, d = 2.252 Å, I = 100; 44.2°, d = 2.050 Å, I = 12; 49.2°, d = 1.850 Å, I = 53; 59.8°, d = 1.547 Å, I = 56; 63.5°, d = 1.465 Å, I = 15; 64.7°, d = 1.441 Å, I = 22; 65.3°, d = 1.429 Å, I = 8; 73.9°, d = 1.282 Å, I = 10

Lattice parameters (Å, degrees): 9.4699 9.4699 9.4699 160.02 160.02 28.40
Fractional positions:
Be 0.0000 0.0000 0.0000
Be 0.7500 0.2500 0.5000
Cr 0.0906 0.6250 0.9656
Cr 0.3750 0.3406 0.4656
Cr 0.6594 0.1250 0.0344
Cr 0.8750 0.9094 0.5344
Pd 0.2500 0.7500 0.5000
Pd 0.5000 0.5000 0.0000